Structure and theoretical powder X-ray diffraction pattern of La2Ni5C3 (a cell relaxed with GGA-PBE; Cu Kα X-rays).
Lines closer than 0.1° are merged.

Crystal structure
```
data_La2Ni5C3
_chemical_formula_sum 'La4 Ni10 C6'
_cell_length_a 8.310
_cell_length_b 8.310
_cell_length_c 4.019
_cell_angle_alpha 90.00
_cell_angle_beta 90.00
_cell_angle_gamma 90.00
_symmetry_space_group_name_H-M 'P 4/m b m'
_symmetry_Int_Tables_number 127
_symmetry_space_group_name_Hall '-P 4 2ab'
loop_
_atom_site_label
_atom_site_type_symbol
_atom_site_fract_x
_atom_site_fract_y
_atom_site_fract_z
La1 La 0.161 0.339 0.000
Ni1 Ni 0.000 0.000 0.000
Ni2 Ni 0.075 0.787 0.500
C1 C 0.000 0.000 0.500
C2 C 0.058 0.558 0.500
```

Most intense lines, 10 to 90 degrees two-theta, in order of rising 2θ:
hkl 2 1 0, 23.9 deg, intensity 21; hkl 2 1 1, 32.8 deg, intensity 100; hkl 3 1 0, 34.1 deg, intensity 11; hkl 2 2 1, 37.9 deg, intensity 22; hkl 3 1 1, 41.0 deg, intensity 50; hkl 4 1 0, 45.0 deg, intensity 31; hkl 0 0 2, 45.1 deg, intensity 24; hkl 4 1 2, 65.6 deg, intensity 19; hkl 6 0 1, 72.1 deg, intensity 13; hkl 5 4 1, 77.2 deg, intensity 11